# 1
Li6TlAg6: theoretical powder diffraction line list (Cu Kα), based on a DFT-relaxed cell (GGA-PBE, Alexandria).
Peak positions follow from Bragg's law for the DFT cell and can differ from measured ones.

Top 12 peaks for 2θ = 10–90°, sorted by position:
Position (°2θ)  Rel. int.  (hkl)
19.6  47  0 0 2
20.8  41  1 0 1
26.9  100  1 0 2
35.0  14  1 0 3
37.1  99  2 0 0
37.8  47  1 1 2
39.8  28  0 0 4
42.3  42  2 0 2
54.0  32  2 1 2
55.5  57  2 0 4
66.9  18  2 2 0
80.8  20  2 2 4

Structure:
Cell lengths 5.593, 5.593, 9.064 Å; angles 90.00, 90.00, 120.00 degrees
Element x y z (fractional)
Li 0.000 0.000 0.172
Li 0.000 0.000 0.828
Li 0.333 0.667 0.000
Li 0.333 0.667 0.500
Li 0.667 0.333 0.000
Li 0.667 0.333 0.500
Tl 0.000 0.000 0.500
Ag 0.000 0.500 0.251
Ag 0.000 0.500 0.749
Ag 0.500 0.000 0.251
Ag 0.500 0.000 0.749
Ag 0.500 0.500 0.251
Ag 0.500 0.500 0.749

# 2
Er3Ga6Ni5: theoretical powder diffraction line list (Cu Kα), based on a DFT-relaxed cell (GGA-PBE, Alexandria).
Peak positions follow from Bragg's law for the DFT cell and can differ from measured ones.

Top 12 peaks for 2θ = 10–90°, sorted by position:
Position (°2θ)  Rel. int.  (hkl)
23.9  27  1 0 1
30.8  26  1 3 0
35.4  21  0 4 2
37.0  100  1 3 2
37.4  75  1 0 3
37.9  28  1 4 1
40.3  23  1 2 3
42.8  16  1 5 0
44.0  21  0 6 0
44.2  44  2 0 0
59.3  18  2 3 3
76.6  13  3 3 2

Structure:
Cell lengths 4.095, 12.337, 8.890 Å; angles 90.00, 90.00, 90.00 degrees
Element x y z (fractional)
Er 0.250 0.050 0.247
Er 0.250 0.450 0.247
Er 0.250 0.750 0.264
Er 0.750 0.250 0.736
Er 0.750 0.550 0.753
Er 0.750 0.950 0.753
Ga 0.250 0.072 0.589
Ga 0.250 0.250 0.036
Ga 0.250 0.250 0.415
Ga 0.250 0.428 0.589
Ga 0.250 0.599 0.982
Ga 0.250 0.901 0.982
Ga 0.750 0.099 0.018
Ga 0.750 0.401 0.018
Ga 0.750 0.572 0.411
Ga 0.750 0.750 0.585
Ga 0.750 0.750 0.964
Ga 0.750 0.928 0.411
Ni 0.250 0.092 0.866
Ni 0.250 0.408 0.866
Ni 0.250 0.638 0.543
Ni 0.250 0.750 0.783
Ni 0.250 0.862 0.543
Ni 0.750 0.138 0.457
Ni 0.750 0.250 0.217
Ni 0.750 0.362 0.457
Ni 0.750 0.592 0.134
Ni 0.750 0.908 0.134

Q: Number 1 is which compound?
A: Li6TlAg6